Ca3Fe2Br2O5: calculated powder diffractogram (Cu Kα, 1.54184 Å), based on a cell relaxed with PBE+U.
No peak broadening, texture or thermal motion is included.

Structure:
```
Ca3Fe2Br2O5
1.0
2.769 -2.769 0.000
2.769 2.769 0.000
-2.746 0.000 13.147
Ca Fe Br O
3 2 2 5
direct
0.000 0.000 0.000
0.136 0.136 0.272
0.864 0.864 0.728
0.427 0.427 0.855
0.573 0.573 0.145
0.313 0.313 0.621
0.687 0.687 0.379
0.082 0.583 0.164
0.417 0.918 0.836
0.500 0.500 0.000
0.583 0.082 0.164
0.918 0.417 0.836
```

Principal peaks in the range 15° ≤ 2θ ≤ 90°, low angle first:
two_theta  Rel. int.
23.0  21
24.9  14
27.1  14
32.3  75
33.0  100
38.4  34
44.4  26
46.4  48
58.1  35
66.1  19